1.
Theoretical XRD peak list of Ga5As3Se3 for CuKα, from a DFT-relaxed cell (PBE, Alexandria).

Principal peaks in the range 2θ from 10° to 90°, sorted by position:
two_theta  I/Imax  index
27.18  100.0  1 0 1
45.03  48.3  1 3 2
45.32  23.7  2 0 0
53.14  14.8  0 3 3
53.65  29.0  1 6 1
66.03  7.3  2 6 0
72.36  11.3  2 3 3
82.89  7.6  2 0 4
83.45  7.8  3 3 2
83.57  7.0  1 9 2

Atomic structure:
```
data_Ga5As3Se3
_cell_length_a 4.0053
_cell_length_b 11.9955
_cell_length_c 5.7297
_cell_angle_alpha 90.00
_cell_angle_beta 90.00
_cell_angle_gamma 90.00
_space_group_name_H-M_alt 'P m m 2'
_space_group_IT_number 25
_space_group_name_Hall 'P 2 -2'
loop_
_atom_site_label
_atom_site_type_symbol
_atom_site_fract_x
_atom_site_fract_y
_atom_site_fract_z
_atom_site_occupancy
Ga1 Ga 0.0000 0.0000 0.0000 1
Ga2 Ga 0.0000 0.3410 0.0090 1
Ga3 Ga 0.5000 0.1687 0.5035 1
As1 As 0.0000 0.1715 0.7569 1
As2 As 0.5000 0.0000 0.2536 1
Se1 Se 0.0000 0.5000 0.7624 1
Se2 Se 0.5000 0.3436 0.2764 1
```

---

2.
Theoretical XRD peak list of SrGa2AsSe6 for CuKα, from a DFT-relaxed cell (PBE, Alexandria).

Principal peaks in the range 2θ from 10° to 90°, sorted by position:
two_theta  I/Imax  index
10.37  58.2  1 1 0
20.01  96.7  0 2 1
22.03  90.6  3 1 0
25.92  64.4  3 1 -2
28.22  64.3  4 0 -2
28.91  59.9  1 3 1
29.49  62.6  3 1 1
34.03  100.0  0 4 1
48.62  94.3  5 3 1
49.58  70.5  2 2 -4

Atomic structure:
```
data_SrGa2AsSe6
_cell_length_a 14.3291
_cell_length_b 11.3421
_cell_length_c 7.8824
_cell_angle_alpha 90.00
_cell_angle_beta 115.30
_cell_angle_gamma 90.00
_space_group_name_H-M_alt 'C 1 2/c 1'
_space_group_IT_number 15
_space_group_name_Hall '-C 2yc'
loop_
_atom_site_label
_atom_site_type_symbol
_atom_site_fract_x
_atom_site_fract_y
_atom_site_fract_z
_atom_site_occupancy
Sr1 Sr 0.0000 0.1805 0.2500 1
Ga1 Ga 0.2077 0.4218 0.1805 1
As1 As 0.0000 0.2119 0.7500 1
Se1 Se 0.0989 0.0701 0.6555 1
Se2 Se 0.1507 0.4255 0.4398 1
Se3 Se 0.1562 0.2202 0.0931 1
```

---

3.
Theoretical XRD peak list of Tm8GaAs3Se4 for CuKα, from a DFT-relaxed cell (PBE, Alexandria).

Principal peaks in the range 2θ from 10° to 90°, sorted by position:
two_theta  I/Imax  index
26.90  25.1  2 0 2
31.16  100.0  0 2 4
44.65  73.7  2 2 0
52.91  11.8  0 4 2
55.45  25.7  4 0 4
64.99  11.8  0 4 8
73.83  32.3  2 4 4
82.20  5.6  0 2 16
82.32  18.6  6 0 0
88.54  2.8  6 0 6

Atomic structure:
```
data_Tm8GaAs3Se4
_cell_length_a 8.1132
_cell_length_b 8.1132
_cell_length_c 19.9045
_cell_angle_alpha 90.00
_cell_angle_beta 90.00
_cell_angle_gamma 120.00
_space_group_name_H-M_alt 'R -3 m'
_space_group_IT_number 166
_space_group_name_Hall '-R 3 2"'
loop_
_atom_site_label
_atom_site_type_symbol
_atom_site_fract_x
_atom_site_fract_y
_atom_site_fract_z
_atom_site_occupancy
Tm1 Tm 0.0000 0.0000 0.2456 1
Tm2 Tm 0.0044 0.5022 0.2457 1
Ga1 Ga 0.0000 0.0000 0.5000 1
As1 As 0.0000 0.5000 0.5000 1
Se1 Se 0.0000 0.0000 0.0000 1
Se2 Se 0.0000 0.5000 0.0000 1
```

---

4.
Theoretical XRD peak list of Tm4GaAsSe2 for CuKα, from a DFT-relaxed cell (PBE, Alexandria).

Principal peaks in the range 2θ from 10° to 90°, sorted by position:
two_theta  I/Imax  index
26.53  19.7  2 0 0
27.17  18.8  1 1 -1
30.99  50.4  2 0 -2
31.16  100.0  1 1 1
43.81  19.3  2 0 2
44.52  74.1  3 1 -1
45.46  17.7  0 2 0
56.03  18.8  2 2 -2
73.45  16.2  5 1 -3
73.72  16.4  4 2 0

Atomic structure:
```
data_Tm4GaAsSe2
_cell_length_a 7.0925
_cell_length_b 3.9905
_cell_length_c 7.1049
_cell_angle_alpha 90.00
_cell_angle_beta 108.79
_cell_angle_gamma 90.00
_space_group_name_H-M_alt 'P 1 2/m 1'
_space_group_IT_number 10
_space_group_name_Hall '-P 2y'
loop_
_atom_site_label
_atom_site_type_symbol
_atom_site_fract_x
_atom_site_fract_y
_atom_site_fract_z
_atom_site_occupancy
Tm1 Tm 0.2471 0.0000 0.2419 1
Tm2 Tm 0.2510 0.5000 0.7640 1
Ga1 Ga 0.0000 0.5000 0.0000 1
As1 As 0.5000 0.0000 0.0000 1
Se1 Se 0.0000 0.0000 0.5000 1
Se2 Se 0.5000 0.5000 0.5000 1
```

---

5.
Theoretical XRD peak list of GaSiAs3 for CuKα, from a DFT-relaxed cell (PBE, Alexandria).

Principal peaks in the range 2θ from 10° to 90°, sorted by position:
two_theta  I/Imax  index
18.37  4.9  1 0 0
26.10  2.2  1 1 0
32.11  100.0  1 1 1
37.24  72.8  2 0 0
41.83  1.9  2 1 0
53.69  49.5  2 2 0
63.95  40.0  3 1 1
67.16  16.6  2 2 2
79.38  7.8  4 0 0
88.21  16.7  3 3 1

Atomic structure:
```
data_GaSiAs3
_cell_length_a 4.8284
_cell_length_b 4.8284
_cell_length_c 4.8284
_cell_angle_alpha 90.00
_cell_angle_beta 90.00
_cell_angle_gamma 90.00
_space_group_name_H-M_alt 'P m -3 m'
_space_group_IT_number 221
_space_group_name_Hall '-P 4 2 3'
loop_
_atom_site_label
_atom_site_type_symbol
_atom_site_fract_x
_atom_site_fract_y
_atom_site_fract_z
_atom_site_occupancy
Ga1 Ga 0.0000 0.0000 0.0000 1
Si1 Si 0.5000 0.5000 0.5000 1
As1 As 0.0000 0.5000 0.5000 1
```

---

6.
Theoretical XRD peak list of Sr3GaAs3 for CuKα, from a DFT-relaxed cell (PBE, Alexandria).

Principal peaks in the range 2θ from 10° to 90°, sorted by position:
two_theta  I/Imax  index
15.79  20.4  1 1 1
25.26  21.1  1 1 3
27.06  50.5  0 2 0
27.52  94.6  6 0 0
27.85  72.5  0 0 4
29.46  35.1  2 2 1
38.97  78.1  6 2 0
39.22  82.7  0 2 4
39.55  100.0  6 0 4
48.58  32.8  6 2 4

Atomic structure:
```
data_Sr3GaAs3
_cell_length_a 19.4508
_cell_length_b 6.5893
_cell_length_c 12.8155
_cell_angle_alpha 90.00
_cell_angle_beta 90.00
_cell_angle_gamma 90.00
_space_group_name_H-M_alt 'C m c e'
_space_group_IT_number 64
_space_group_name_Hall '-C 2ac 2'
loop_
_atom_site_label
_atom_site_type_symbol
_atom_site_fract_x
_atom_site_fract_y
_atom_site_fract_z
_atom_site_occupancy
Sr1 Sr 0.0000 0.1831 0.1468 1
Sr2 Sr 0.1766 0.1935 0.8701 1
Ga1 Ga 0.0868 0.0000 0.5000 1
As1 As 0.0000 0.2066 0.3948 1
As2 As 0.1599 0.2103 0.6218 1
```

---

> Which formula does entry 2 have?

SrGa2AsSe6